Entry 1:
This entry pairs a crystal structure of Fe4P2O9 with its computed X-ray diffraction stick pattern. Radiation: Cu Kα (λ = 1.5418 Å). Structure: DFT lattice parameters and positions (PBE+U).
Peak positions follow from Bragg's law for the DFT cell and can differ from measured ones.

Cell: 6.6662 11.4251 9.5257 Å, 90.00 104.34 90.00°
Space group P2_1/c (No. 14)
Unique sites:
Fe (0.0302, 0.1341, 0.3178) [4 per cell]
Fe (0.2713, 0.1189, 0.7484) [4 per cell]
Fe (0.3195, 0.6036, 0.4652) [4 per cell]
Fe (0.4548, 0.5946, 0.1174) [4 per cell]
P (0.2033, 0.1711, 0.0744) [4 per cell]
P (0.2597, 0.6301, 0.8152) [4 per cell]
O (0.0046, 0.1073, 0.0818) [4 per cell]
O (0.0385, 0.6692, 0.7426) [4 per cell]
O (0.1722, 0.2023, 0.5157) [4 per cell]
O (0.2520, 0.5590, 0.2326) [4 per cell]
O (0.2695, 0.5079, 0.8959) [4 per cell]
O (0.3220, 0.1927, 0.2384) [4 per cell]
O (0.3360, 0.0952, 0.9932) [4 per cell]
O (0.3623, 0.7141, 0.9429) [4 per cell]
O (0.3914, 0.6193, 0.7022) [4 per cell]

Peak list (6 most intense, 2θ = 10–90°, sorted by position)
20.72 deg, rel. 30, hkl 1 0 -2; 30.08 deg, rel. 47, hkl 0 1 3; 30.62 deg, rel. 65, hkl 2 1 -2; 31.20 deg, rel. 36, hkl 2 2 -1; 31.33 deg, rel. 100, hkl 0 4 0; 33.07 deg, rel. 53, hkl 0 2 3

***

Entry 2:
This entry pairs a crystal structure of TiMn3P4O16 with its computed X-ray diffraction stick pattern. Radiation: Cu Kα (λ = 1.5418 Å). Structure: DFT lattice parameters and positions (PBE+U).
Peak positions follow from Bragg's law for the DFT cell and can differ from measured ones.

Cell: 4.9597 6.0429 9.9604 Å, 90.00 90.25 90.00°
Space group Pm (No. 6)
Unique sites:
Ti (0.0000, 0.0000, 0.0000) [1 per cell]
Mn (0.3891, 0.0000, 0.4919) [1 per cell]
Mn (0.5052, 0.5000, 0.0528) [1 per cell]
Mn (0.8968, 0.5000, 0.5655) [1 per cell]
P (0.0291, 0.5000, 0.8712) [1 per cell]
P (0.3781, 0.5000, 0.3810) [1 per cell]
P (0.5741, 0.0000, 0.1777) [1 per cell]
P (0.8796, 0.0000, 0.6750) [1 per cell]
O (0.1210, 0.5000, 0.7239) [1 per cell]
O (0.1621, 0.2952, 0.9470) [2 per cell]
O (0.1875, 0.0000, 0.6572) [1 per cell]
O (0.2365, 0.2997, 0.4524) [2 per cell]
O (0.2732, 0.0000, 0.1379) [1 per cell]
O (0.3202, 0.5000, 0.2317) [1 per cell]
O (0.6095, 0.0000, 0.3291) [1 per cell]
O (0.6869, 0.5000, 0.4039) [1 per cell]
O (0.7258, 0.5000, 0.8819) [1 per cell]
O (0.7297, 0.1936, 0.1063) [2 per cell]
O (0.7365, 0.2001, 0.6082) [2 per cell]
O (0.8276, 0.0000, 0.8302) [1 per cell]

Peak list (6 most intense, 2θ = 10–90°, sorted by position)
17.81 deg, rel. 59, hkl 0 0 2; 20.00 deg, rel. 100, hkl 1 0 1; 24.89 deg, rel. 60, hkl 1 1 1; 29.56 deg, rel. 69, hkl 0 2 0; 35.71 deg, rel. 37, hkl 1 1 -3; 35.87 deg, rel. 47, hkl 1 1 3

***

Entry 3:
This entry pairs a crystal structure of Ca3As2W10O8 with its computed X-ray diffraction stick pattern. Radiation: Cu Kα (λ = 1.5418 Å). Structure: DFT lattice parameters and positions (PBE+U).
Peak positions follow from Bragg's law for the DFT cell and can differ from measured ones.

Cell: 6.2755 10.9628 14.0857 Å, 111.36 96.72 98.40°
Space group P-1 (No. 2)
Unique sites:
Ca (0.0444, 0.4563, 0.1701) [2 per cell]
Ca (0.2706, 0.1447, 0.1685) [2 per cell]
Ca (0.3066, 0.0435, 0.8127) [2 per cell]
As (0.2209, 0.1377, 0.6364) [2 per cell]
As (0.2376, 0.8607, 0.9594) [2 per cell]
W (0.0625, 0.6688, 0.5342) [2 per cell]
W (0.1020, 0.0853, 0.4363) [2 per cell]
W (0.1080, 0.7473, 0.3727) [2 per cell]
W (0.2336, 0.4742, 0.3892) [2 per cell]
W (0.2380, 0.4076, 0.9507) [2 per cell]
W (0.2859, 0.5196, 0.6291) [2 per cell]
W (0.2961, 0.6618, 0.0935) [2 per cell]
W (0.4030, 0.9183, 0.5730) [2 per cell]
W (0.4370, 0.3182, 0.4702) [2 per cell]
W (0.4806, 0.5801, 0.8793) [2 per cell]
O (0.0198, 0.2326, 0.1017) [2 per cell]
O (0.1872, 0.6798, 0.2339) [2 per cell]
O (0.2292, 0.0147, 0.9568) [2 per cell]
O (0.3008, 0.8884, 0.0912) [2 per cell]
O (0.3170, 0.9423, 0.4207) [2 per cell]
O (0.3602, 0.2554, 0.8658) [2 per cell]
O (0.3933, 0.4254, 0.2581) [2 per cell]
O (0.4151, 0.7814, 0.8813) [2 per cell]

Peak list (6 most intense, 2θ = 10–90°, sorted by position)
13.74 deg, rel. 100, hkl 0 0 2; 32.32 deg, rel. 46, hkl 0 2 -5; 34.77 deg, rel. 36, hkl 0 3 -5; 35.36 deg, rel. 31, hkl 2 2 -2; 37.30 deg, rel. 29, hkl -2 3 1; 39.28 deg, rel. 39, hkl 0 4 -5

***

Entry 4:
This entry pairs a crystal structure of Zn3W2O7 with its computed X-ray diffraction stick pattern. Radiation: Cu Kα (λ = 1.5418 Å). Structure: DFT lattice parameters and positions (PBE+U).
Peak positions follow from Bragg's law for the DFT cell and can differ from measured ones.

Cell: 18.8957 5.4457 5.3891 Å, 90.00 90.00 90.00°
Space group Cmc2_1 (No. 36)
Unique sites:
Zn (0.0000, 0.2403, 0.0000) [4 per cell]
Zn (0.2035, 0.2817, 0.9579) [8 per cell]
W (0.1034, 0.2472, 0.4822) [8 per cell]
O (0.0000, 0.1239, 0.3769) [4 per cell]
O (0.0766, 0.4249, 0.8203) [8 per cell]
O (0.1328, 0.0775, 0.1452) [8 per cell]
O (0.2053, 0.3656, 0.5829) [8 per cell]

Peak list (6 most intense, 2θ = 10–90°, sorted by position)
23.70 deg, rel. 21, hkl 1 1 1; 32.89 deg, rel. 20, hkl 0 2 0; 33.29 deg, rel. 100, hkl 0 0 2; 47.47 deg, rel. 17, hkl 0 2 2; 58.99 deg, rel. 20, hkl 5 3 1; 59.45 deg, rel. 18, hkl 5 1 3

***

Entry 5:
This entry pairs a crystal structure of LiAlVO4 with its computed X-ray diffraction stick pattern. Radiation: Cu Kα (λ = 1.5418 Å). Structure: DFT lattice parameters and positions (PBE+U).
Peak positions follow from Bragg's law for the DFT cell and can differ from measured ones.

Cell: 5.7807 5.9205 8.1736 Å, 90.00 90.00 90.00°
Space group Imm2 (No. 44)
Unique sites:
Li (0.0000, 0.0000, 0.0000) [2 per cell]
Li (0.0000, 0.5000, 0.2589) [2 per cell]
Al (0.2497, 0.0000, 0.3779) [4 per cell]
V (0.0000, 0.2486, 0.6291) [4 per cell]
O (0.0000, 0.2172, 0.3930) [4 per cell]
O (0.0000, 0.2820, 0.8636) [4 per cell]
O (0.2278, 0.5000, 0.6432) [4 per cell]
O (0.2299, 0.0000, 0.6126) [4 per cell]

Peak list (6 most intense, 2θ = 10–90°, sorted by position)
18.50 deg, rel. 41, hkl 0 1 1; 18.80 deg, rel. 100, hkl 1 0 1; 35.81 deg, rel. 33, hkl 1 2 1; 43.77 deg, rel. 58, hkl 2 2 0; 44.33 deg, rel. 27, hkl 0 0 4; 64.06 deg, rel. 33, hkl 2 2 4

***

Entry 6:
This entry pairs a crystal structure of Co5Te4Cl2O12 with its computed X-ray diffraction stick pattern. Radiation: Cu Kα (λ = 1.5418 Å). Structure: DFT lattice parameters and positions (PBE+U).
Peak positions follow from Bragg's law for the DFT cell and can differ from measured ones.

Cell: 20.1812 5.3287 16.5586 Å, 90.00 124.97 90.00°
Space group C2/c (No. 15)
Unique sites:
Co (0.0000, 0.2338, 0.2500) [4 per cell]
Co (0.0083, 0.2186, 0.6183) [8 per cell]
Co (0.0910, 0.2165, 0.4755) [8 per cell]
Te (0.1260, 0.3165, 0.1397) [8 per cell]
Te (0.1460, 0.2924, 0.8778) [8 per cell]
Cl (0.2349, 0.3337, 0.5932) [8 per cell]
O (0.0409, 0.1618, 0.1424) [8 per cell]
O (0.0635, 0.4913, 0.3672) [8 per cell]
O (0.0706, 0.3854, 0.5693) [8 per cell]
O (0.0781, 0.0114, 0.8562) [8 per cell]
O (0.0979, 0.1446, 0.0221) [8 per cell]
O (0.1149, 0.3407, 0.7489) [8 per cell]

Peak list (6 most intense, 2θ = 10–90°, sorted by position)
10.70 deg, rel. 66, hkl 2 0 0; 26.27 deg, rel. 48, hkl 0 0 4; 28.06 deg, rel. 100, hkl 5 1 -3; 28.66 deg, rel. 52, hkl 1 1 3; 33.64 deg, rel. 41, hkl 0 2 0; 35.64 deg, rel. 48, hkl 5 1 1